No. 1
KLa2SbO5: theoretical powder diffractogram (Cu Ka), based on the GGA-PBE geometry in Alexandria.
Peak positions follow from Bragg's law for the DFT cell and can differ from measured ones.

Principal peaks in the range 10° ≤ 2θ ≤ 90°, in order of rising 2θ:
- hkl 0 0 1, 2θ = 13.9°, I = 23.9
- hkl 1 1 0, 2θ = 17.9°, I = 30.8
- hkl 0 0 2, 2θ = 28.1°, I = 39.2
- hkl 2 0 1, 2θ = 29.0°, I = 100.0
- hkl 2 1 1, 2θ = 31.8°, I = 54.2
- hkl 2 2 0, 2θ = 36.2°, I = 23.1
- hkl 2 1 2, 2θ = 40.4°, I = 45.5
- hkl 3 1 1, 2θ = 43.1°, I = 29.6

Crystal structure
```
data_KLa2SbO5
_space_group_name_H-M_alt 'P 4/m b m'
_space_group_IT_number 127
_space_group_name_Hall '-P 4 2ab'
_cell_length_a 7.023
_cell_length_b 7.023
_cell_length_c 6.359
_cell_angle_alpha 90.00
_cell_angle_beta 90.00
_cell_angle_gamma 90.00
loop_
_atom_site_label
_atom_site_type_symbol
_atom_site_fract_x
_atom_site_fract_y
_atom_site_fract_z
K1 K 0.000 0.000 0.000
La1 La 0.180 0.320 0.500
Sb1 Sb 0.000 0.500 0.000
O1 O 0.000 0.000 0.500
O2 O 0.141 0.641 0.258
```


No. 2
Ce7CCl12: theoretical powder diffractogram (Cu Ka), based on the GGA-PBE geometry in Alexandria.
Peak positions follow from Bragg's law for the DFT cell and can differ from measured ones.

Principal peaks in the range 10° ≤ 2θ ≤ 90°, in order of rising 2θ:
- hkl 1 0 1, 2θ = 11.5°, I = 23.3
- hkl 1 1 0, 2θ = 12.3°, I = 72.5
- hkl 0 0 3, 2θ = 27.4°, I = 32.2
- hkl 2 -1 3, 2θ = 30.2°, I = 23.3
- hkl 3 1 2, 2θ = 31.7°, I = 100.0
- hkl 4 -3 4, 2θ = 45.5°, I = 66.2
- hkl 0 0 6, 2θ = 56.5°, I = 20.3
- hkl 7 -2 6, 2θ = 75.4°, I = 22.7

Crystal structure
```
data_Ce7CCl12
_space_group_name_H-M_alt 'R -3'
_space_group_IT_number 148
_space_group_name_Hall '-R 3'
_cell_length_a 14.3821
_cell_length_b 14.3821
_cell_length_c 9.7586
_cell_angle_alpha 90.00
_cell_angle_beta 90.00
_cell_angle_gamma 120.00
loop_
_atom_site_label
_atom_site_type_symbol
_atom_site_fract_x
_atom_site_fract_y
_atom_site_fract_z
Ce1 Ce 0.0000 0.0000 0.0000
Ce2 Ce 0.0390 0.1602 0.3442
C1 C 0.0000 0.0000 0.5000
Cl1 Cl 0.0254 0.5827 0.1606
Cl2 Cl 0.0457 0.1827 0.8390
```


No. 3
Cu5Pd: theoretical powder diffractogram (Cu Ka), based on the GGA-PBE geometry in Alexandria.
Peak positions follow from Bragg's law for the DFT cell and can differ from measured ones.

Principal peaks in the range 10° ≤ 2θ ≤ 90°, in order of rising 2θ:
- hkl 3 1 0, 2θ = 42.3°, I = 100.0
- hkl 1 1 -2, 2θ = 42.5°, I = 98.7
- hkl 0 2 0, 2θ = 48.4°, I = 33.3
- hkl 4 0 -2, 2θ = 49.7°, I = 30.6
- hkl 2 0 2, 2θ = 50.0°, I = 29.7
- hkl 4 2 -2, 2θ = 71.9°, I = 18.7
- hkl 2 2 2, 2θ = 72.2°, I = 18.4
- hkl 5 1 -4, 2θ = 88.5°, I = 21.4

Crystal structure
```
data_Cu5Pd
_space_group_name_H-M_alt 'C 1 2/m 1'
_space_group_IT_number 12
_cell_length_a 8.212
_cell_length_b 3.761
_cell_length_c 5.154
_cell_angle_alpha 90.00
_cell_angle_beta 108.63
_cell_angle_gamma 90.00
loop_
_space_group_symop_operation_xyz
'x,y,z'
'-x,-y,-z'
'-x,y,-z'
'x,-y,z'
'x+1/2,y+1/2,z'
'-x+1/2,-y+1/2,-z'
'-x+1/2,y+1/2,-z'
'x+1/2,-y+1/2,z'
loop_
_atom_site_label
_atom_site_type_symbol
_atom_site_fract_x
_atom_site_fract_y
_atom_site_fract_z
Cu1 Cu 0.000 0.000 0.000
Cu2 Cu 0.164 0.500 0.326
Cu3 Cu 0.172 0.500 0.839
Pd1 Pd 0.000 0.000 0.500
```